For Lu6FeBi2, DFT lattice parameters and positions (PBE) gives the theoretical powder X-ray diffraction pattern in this record (Cu Kα X-rays).
Lines closer than 0.1° are merged.

Structure:
a b c (Å): 8.1420 8.1420 4.1136
angles (deg): 90.00 90.00 120.00
Space group P-62m (No. 189)
One atom of each set of equivalent atoms:
Lu: 0.0000 0.2303 0.0000 [3 per cell]
Lu: 0.0000 0.6164 0.5000 [3 per cell]
Fe: 0.0000 0.0000 0.5000 [1 per cell]
Bi: 0.3333 0.6667 0.0000 [2 per cell]

The 6 most intense peaks (2θ = 5–70°), low angle first:
Position (°2θ), I (rel.)
30.9, 100
33.5, 46
33.6, 52
38.3, 32
40.3, 34
56.5, 24